This entry pairs a crystal structure of TbEr2Rh2 with its theoretical PXRD pattern. Radiation: Cu Kα (λ = 1.5418 Å). Structure: a crystal structure in Alexandria, relaxed with PBE.

Atomic structure:
Unit cell a=4.7614 b=4.7614 c=5.9728 alpha=90.00 beta=90.00 gamma=120.00
Fractional positions:
Tb 0.0000 0.0000 0.0000
Er 0.3333 0.6667 0.6640
Er 0.6667 0.3333 0.3360
Rh 0.3333 0.6667 0.1696
Rh 0.6667 0.3333 0.8304

Most intense lines, 2θ = 15–90°, sorted by position:
hkl 1 0 0, 21.6 deg, intensity 10.6; hkl 1 0 1, 26.3 deg, intensity 42.8; hkl 0 1 2, 37.2 deg, intensity 100.0; hkl 1 1 0, 37.8 deg, intensity 93.1; hkl 2 0 2, 54.0 deg, intensity 34.0; hkl 1 0 4, 66.6 deg, intensity 17.9; hkl 1 2 2, 67.8 deg, intensity 34.1; hkl 3 0 0, 68.2 deg, intensity 16.3; hkl 0 2 4, 79.2 deg, intensity 11.0; hkl 2 2 0, 80.7 deg, intensity 10.3